Calculated X-ray powder pattern
Compound: CsCrTeCl6
Radiation: a wavelength of 1.5418 Å
Structure: a structure optimized by DFT (GGA-PBE)

Most intense lines, 15° ≤ 2θ ≤ 90°, in order of falling intensity:
- 17.59 deg, intensity 100
- 20.26 deg, intensity 90
- 19.23 deg, intensity 73
- 31.51 deg, intensity 73
- 37.46 deg, intensity 64
- 29.48 deg, intensity 40
- 26.91 deg, intensity 30
- 22.57 deg, intensity 30
- 42.41 deg, intensity 29
- 30.13 deg, intensity 26

Crystal structure
abc: 6.7542 6.7618 7.3609
angles: 93.65 93.71 108.20
Space group P1 (No. 1)
One atom of each set of equivalent atoms:
Cs  0.0000  0.0000  0.0000
Cr  0.3636  0.6369  0.5003
Te  0.7212  0.2790  0.5000
Cl  0.1005  0.3804  0.6615
Cl  0.1103  0.6555  0.2903
Cl  0.3458  0.8894  0.7110
Cl  0.3947  0.3383  0.3187
Cl  0.6198  0.9001  0.3390
Cl  0.6628  0.6053  0.6813